1.
Starting from the PBE geometry in Alexandria, the powder X-ray diffraction pattern of PuZnAg was computed for Cu Kα, 1.54184 Å.
Lines closer than 0.1° are merged.

Atomic structure:
```
data_PuZnAg
_chemical_formula_sum 'Pu1 Zn1 Ag1'
_symmetry_space_group_name_H-M 'P -6 m 2'
_symmetry_Int_Tables_number 187
_symmetry_space_group_name_Hall 'P -6 2'
_cell_length_a 4.8625
_cell_length_b 4.8625
_cell_length_c 2.9782
_cell_angle_alpha 90.00
_cell_angle_beta 90.00
_cell_angle_gamma 120.00
loop_
_atom_site_label
_atom_site_fract_x
_atom_site_fract_y
_atom_site_fract_z
Pu1 0.0000 0.0000 0.0000
Zn1 0.3333 0.6667 0.5000
Ag1 0.6667 0.3333 0.5000
```

The 6 most intense peaks (2θ = 10–90°), most intense first:
h k l, d (Å), 2θ (°), I (rel.)
1 1 0, 2.431, 36.97, 1000
3 0 0, 1.404, 66.62, 300
1 0 0, 4.211, 21.10, 216
2 0 1, 1.719, 53.28, 194
1 1 2, 1.270, 74.76, 116
2 2 0, 1.216, 78.72, 64

---

2.
Starting from the PBE geometry in Alexandria, the powder X-ray diffraction pattern of Pu2Zn16Ag was computed for Cu Kα, 1.54184 Å.
Lines closer than 0.1° are merged.

Atomic structure:
```
data_Pu2Zn16Ag
_chemical_formula_sum 'Pu6 Zn48 Ag3'
_symmetry_space_group_name_H-M 'R 3 m'
_symmetry_Int_Tables_number 160
_symmetry_space_group_name_Hall 'R 3 -2"'
_cell_length_a 9.0397
_cell_length_b 9.0397
_cell_length_c 13.2754
_cell_angle_alpha 90.00
_cell_angle_beta 90.00
_cell_angle_gamma 120.00
loop_
_atom_site_label
_atom_site_fract_x
_atom_site_fract_y
_atom_site_fract_z
Pu1 0.0000 0.0000 0.0000
Pu2 0.0000 0.0000 0.3201
Zn1 0.0000 0.0000 0.7683
Zn2 0.9999 0.2964 0.6599
Zn3 0.0077 0.5038 0.8112
Zn4 0.1675 0.3350 0.4933
Zn5 0.1710 0.3420 0.8424
Ag1 0.0000 0.0000 0.5624
```

The 6 most intense peaks (2θ = 10–90°), most intense first:
h k l, d (Å), 2θ (°), I (rel.)
0 3 3, 2.248, 40.12, 1000
2 2 0, 2.260, 39.89, 657
0 0 6, 2.211, 40.82, 518
3 0 0, 2.610, 34.37, 512
1 1 3, 3.162, 28.22, 443
0 2 4, 2.531, 35.46, 333

---

Please write out number 1 again, unchanged.
Starting from the PBE geometry in Alexandria, the powder X-ray diffraction pattern of PuZnAg was computed for Cu Kα, 1.54184 Å.
Lines closer than 0.1° are merged.

Atomic structure:
```
data_PuZnAg
_chemical_formula_sum 'Pu1 Zn1 Ag1'
_symmetry_space_group_name_H-M 'P -6 m 2'
_symmetry_Int_Tables_number 187
_symmetry_space_group_name_Hall 'P -6 2'
_cell_length_a 4.8625
_cell_length_b 4.8625
_cell_length_c 2.9782
_cell_angle_alpha 90.00
_cell_angle_beta 90.00
_cell_angle_gamma 120.00
loop_
_atom_site_label
_atom_site_fract_x
_atom_site_fract_y
_atom_site_fract_z
Pu1 0.0000 0.0000 0.0000
Zn1 0.3333 0.6667 0.5000
Ag1 0.6667 0.3333 0.5000
```

The 6 most intense peaks (2θ = 10–90°), most intense first:
h k l, d (Å), 2θ (°), I (rel.)
1 1 0, 2.431, 36.97, 1000
3 0 0, 1.404, 66.62, 300
1 0 0, 4.211, 21.10, 216
2 0 1, 1.719, 53.28, 194
1 1 2, 1.270, 74.76, 116
2 2 0, 1.216, 78.72, 64

---

What is the formula in the second record? Pu2Zn16Ag